Record 1
The following is a computed X-ray diffraction stick pattern of Ga2SnSb. It was derived from DFT lattice parameters and positions (GGA-PBE), using Cu Kα, 1.54184 Å.
Lines closer than 0.1° are merged.

The 6 most intense peaks (2θ from 15° to 90°), by angle:
d_spacing	I_rel	(hkl)
2.690	64	1 1 0
2.481	100	1 0 2
1.902	23	2 0 0
1.509	42	2 1 2
1.398	16	1 1 4
1.240	11	2 0 4

Crystal structure
```
data_Ga2SnSb
_chemical_formula_sum 'Ga2 Sn1 Sb1'
_space_group_name_H-M_alt 'P 4/m m m'
_space_group_IT_number 123
_space_group_name_Hall '-P 4 2'
_cell_length_a 3.8039
_cell_length_b 3.8039
_cell_length_c 6.5450
_cell_angle_alpha 90.00
_cell_angle_beta 90.00
_cell_angle_gamma 90.00
loop_
_atom_site_label
_atom_site_type_symbol
_atom_site_fract_x
_atom_site_fract_y
_atom_site_fract_z
_atom_site_occupancy
Ga1 Ga 0.0000 0.0000 0.2345 1
Sn1 Sn 0.5000 0.5000 0.5000 1
Sb1 Sb 0.5000 0.5000 0.0000 1
```

---

Record 2
The following is a computed X-ray diffraction stick pattern of NpTiSe3. It was derived from DFT lattice parameters and positions (GGA-PBE), using Cu Kα, 1.54184 Å.
Lines closer than 0.1° are merged.

The 6 most intense peaks (2θ from 15° to 90°), by angle:
d_spacing	I_rel	(hkl)
4.170	100	1 1 1
3.493	68	2 1 1
2.855	70	3 1 1
2.359	49	4 1 1
2.250	78	0 2 2
1.988	46	5 1 1

Crystal structure
```
data_NpTiSe3
_chemical_formula_sum 'Np4 Ti4 Se12'
_space_group_name_H-M_alt 'P b c m'
_space_group_IT_number 57
_space_group_name_Hall '-P 2c 2b'
_cell_length_a 11.0777
_cell_length_b 6.9130
_cell_length_c 5.9297
_cell_angle_alpha 90.00
_cell_angle_beta 90.00
_cell_angle_gamma 90.00
loop_
_atom_site_label
_atom_site_type_symbol
_atom_site_fract_x
_atom_site_fract_y
_atom_site_fract_z
_atom_site_occupancy
Np1 Np 0.1529 0.0486 0.2500 1
Ti1 Ti 0.4252 0.2500 0.0000 1
Se1 Se 0.0328 0.7500 0.0000 1
Se2 Se 0.2605 0.0758 0.7500 1
Se3 Se 0.4090 0.5750 0.7500 1
```